Starting from DFT lattice parameters and positions (PBE), the XRD peak list of Tb2Tl4Se5 was calculated for Cu Kα (λ = 1.5418 Å).
Intensities are scaled so that the largest is 100.

Structural model:
Lattice parameters (Å, degrees): 24.282 24.282 24.282 9.96 9.96 9.96
Positions (direct):
Tb 0.142 0.142 0.142
Tb 0.858 0.858 0.858
Tl 0.313 0.313 0.313
Tl 0.413 0.413 0.413
Tl 0.587 0.587 0.587
Tl 0.687 0.687 0.687
Se 0.211 0.211 0.211
Se 0.375 0.375 0.375
Se 0.500 0.500 0.500
Se 0.625 0.625 0.625
Se 0.789 0.789 0.789

Main lines, low angle first (2θ from 15° to 90°):
- 22.08°, intensity 30
- 24.42°, intensity 30
- 24.87°, intensity 30
- 25.86°, intensity 21
- 27.93°, intensity 100
- 33.99°, intensity 24
- 36.74°, intensity 30
- 42.90°, intensity 61
- 43.90°, intensity 32
- 48.75°, intensity 23